# 1
Sr2As2Pd: computed powder XRD pattern (Cu Kα X-rays), based on a cell relaxed with PBE.
Peak positions follow from Bragg's law for the DFT cell and can differ from measured ones.

Cell and atoms:
a = 11.698 Å, b = 4.257 Å, c = 11.352 Å
α = 90.00°, β = 111.06°, γ = 90.00°
Space group C2/m (No. 12)
Symmetry-distinct sites (fractional):
1 Sr 0.086 0.000 0.401 x4
2 Sr 0.197 0.500 0.143 x4
3 As 0.042 0.000 0.912 x4
4 As 0.158 0.500 0.641 x4
5 Pd 0.075 0.500 0.816 x4

Most intense lines, 2θ from 10° to 80°, by intensity:
(1 1 2), 29.85 deg, I 100; (3 1 -4), 40.20 deg, I 69; (4 0 -2), 31.00 deg, I 48; (3 1 -1), 31.11 deg, I 41; (0 2 0), 42.47 deg, I 39; (3 1 0), 32.37 deg, I 29; (0 0 4), 33.85 deg, I 29; (4 0 2), 42.36 deg, I 28; (7 1 -3), 59.61 deg, I 28; (1 1 6), 60.08 deg, I 26

---

# 2
Ti2Cu3Ni8: computed powder XRD pattern (Cu Kα X-rays), based on a cell relaxed with PBE.
Peak positions follow from Bragg's law for the DFT cell and can differ from measured ones.

Cell and atoms:
a = 4.6215 Å, b = 4.6215 Å, c = 26.8058 Å
α = 90.00°, β = 90.00°, γ = 120.00°
Space group R-3m (No. 166, hexagonal axes)
Symmetry-distinct sites (fractional):
1 Ti 0.0000 0.0000 0.1360 x6
2 Cu 0.0000 0.0000 0.3151 x6
3 Cu 0.0000 0.0000 0.5000 x3
4 Ni 0.0000 0.0000 0.2237 x6
5 Ni 0.0020 0.5010 0.2715 x18

Most intense lines, 2θ from 10° to 80°, by intensity:
(0 1 11), 43.48 deg, I 100; (2 0 2), 45.85 deg, I 80; (0 2 4), 47.41 deg, I 42; (1 1 0), 38.98 deg, I 41; (1 2 11), 73.71 deg, I 37; (1 1 6), 44.12 deg, I 34; (2 0 5), 48.56 deg, I 33; (1 1 9), 49.95 deg, I 31; (1 0 7), 32.36 deg, I 20; (1 0 13), 49.74 deg, I 18